No. 1
Simulated powder diffractogram
Compound: Co2Ni4Rh
Radiation: Cu Kα, 1.54184 Å
Structure: a cell relaxed with GGA-PBE
Peak positions follow from Bragg's law for the DFT cell and can differ from measured ones.

Largest 10 diffraction maxima, in order of rising 2θ, 15° ≤ 2θ ≤ 90°:
- hkl 1 1 0, 18.35°, d = 4.836 Å, I 18
- hkl 1 1 2, 30.73°, d = 2.909 Å, I 26
- hkl 2 2 2, 45.00°, d = 2.014 Å, I 100
- hkl 1 3 2, 45.35°, d = 2.000 Å, I 17
- hkl 3 1 0, 45.63°, d = 1.988 Å, I 12
- hkl 0 4 0, 46.65°, d = 1.947 Å, I 26
- hkl 0 0 4, 50.10°, d = 1.821 Å, I 20
- hkl 1 3 3, 53.79°, d = 1.704 Å, I 6
- hkl 0 4 4, 70.85°, d = 1.330 Å, I 12
- hkl 2 6 2, 85.41°, d = 1.137 Å, I 12

Crystal structure
```
data_Co2Ni4Rh
_cell_length_a 6.1689
_cell_length_b 7.7884
_cell_length_c 7.2835
_cell_angle_alpha 90.00
_cell_angle_beta 90.00
_cell_angle_gamma 90.00
_space_group_name_H-M_alt 'C c c m'
_space_group_IT_number 66
_space_group_name_Hall '-C 2 2c'
loop_
_atom_site_label
_atom_site_type_symbol
_atom_site_fract_x
_atom_site_fract_y
_atom_site_fract_z
Co1 Co 0.0386 0.2314 0.0000
Ni1 Ni 0.2016 0.4873 0.5000
Ni2 Ni 0.2500 0.2500 0.2780
Rh1 Rh 0.0000 0.0000 0.2500
```

No. 2
Simulated powder diffractogram
Compound: InSnAu4
Radiation: Cu Kα, 1.54184 Å
Structure: a cell relaxed with GGA-PBE
Peak positions follow from Bragg's law for the DFT cell and can differ from measured ones.

Largest 10 diffraction maxima, in order of rising 2θ, 15° ≤ 2θ ≤ 90°:
- hkl 2 0 -1, 28.55°, d = 3.126 Å, I 57
- hkl 1 1 1, 33.88°, d = 2.646 Å, I 67
- hkl 3 1 -1, 35.13°, d = 2.555 Å, I 73
- hkl 2 2 0, 35.46°, d = 2.532 Å, I 100
- hkl 6 0 0, 36.78°, d = 2.444 Å, I 93
- hkl 3 1 1, 39.64°, d = 2.274 Å, I 36
- hkl 4 0 1, 40.16°, d = 2.245 Å, I 43
- hkl 4 2 0, 41.56°, d = 2.173 Å, I 80
- hkl 5 1 -1, 41.81°, d = 2.161 Å, I 34
- hkl 2 2 1, 46.91°, d = 1.937 Å, I 33

Crystal structure
```
data_InSnAu4
_cell_length_a 14.8486
_cell_length_b 5.3954
_cell_length_c 3.2494
_cell_angle_alpha 90.00
_cell_angle_beta 99.08
_cell_angle_gamma 90.00
_space_group_name_H-M_alt 'C 1 m 1'
_space_group_IT_number 8
_space_group_name_Hall 'C -2y'
loop_
_atom_site_label
_atom_site_type_symbol
_atom_site_fract_x
_atom_site_fract_y
_atom_site_fract_z
In1 In 0.0000 0.0000 0.0000
Sn1 Sn 0.2971 0.5000 0.2309
Au1 Au 0.1472 0.2499 0.6283
Au2 Au 0.3188 0.0000 0.8173
Au3 Au 0.4775 0.0000 0.4151
```

No. 3
Simulated powder diffractogram
Compound: Ga2HPd6
Radiation: Cu Kα, 1.54184 Å
Structure: a cell relaxed with GGA-PBE
Peak positions follow from Bragg's law for the DFT cell and can differ from measured ones.

Largest 10 diffraction maxima, in order of rising 2θ, 15° ≤ 2θ ≤ 90°:
- hkl 2 0 0, 36.89°, d = 2.436 Å, I 8
- hkl 2 0 1, 38.27°, d = 2.352 Å, I 44
- hkl 0 0 4, 40.02°, d = 2.253 Å, I 34
- hkl 2 0 2, 42.17°, d = 2.143 Å, I 100
- hkl 2 0 3, 48.09°, d = 1.892 Å, I 23
- hkl 2 0 5, 64.29°, d = 1.449 Å, I 9
- hkl 2 2 0, 66.47°, d = 1.407 Å, I 22
- hkl 2 0 6, 74.17°, d = 1.278 Å, I 18
- hkl 2 2 4, 80.50°, d = 1.193 Å, I 26
- hkl 4 0 2, 81.92°, d = 1.176 Å, I 14

Crystal structure
```
data_Ga2HPd6
_cell_length_a 5.6267
_cell_length_b 5.6267
_cell_length_c 9.0111
_cell_angle_alpha 90.00
_cell_angle_beta 90.00
_cell_angle_gamma 120.00
_space_group_name_H-M_alt 'P 63 m c'
_space_group_IT_number 186
_space_group_name_Hall 'P 6c -2c'
loop_
_atom_site_label
_atom_site_type_symbol
_atom_site_fract_x
_atom_site_fract_y
_atom_site_fract_z
Ga1 Ga 0.0000 0.0000 0.0000
Ga2 Ga 0.3333 0.6667 0.2501
H1 H 0.3333 0.6667 0.6432
Pd1 Pd 0.0019 0.5009 0.0000
Pd2 Pd 0.1628 0.3255 0.7511
```

No. 4
Simulated powder diffractogram
Compound: Zr3Be6Ni20
Radiation: Cu Kα, 1.54184 Å
Structure: a cell relaxed with GGA-PBE
Peak positions follow from Bragg's law for the DFT cell and can differ from measured ones.

Largest 10 diffraction maxima, in order of rising 2θ, 15° ≤ 2θ ≤ 90°:
- hkl 4 2 0, 36.87°, d = 2.438 Å, I 27
- hkl 4 2 2, 40.53°, d = 2.226 Å, I 39
- hkl 3 3 3, 43.11°, d = 2.098 Å, I 100
- hkl 4 4 0, 47.15°, d = 1.927 Å, I 26
- hkl 5 3 1, 49.45°, d = 1.843 Å, I 21
- hkl 6 0 0, 50.20°, d = 1.817 Å, I 8
- hkl 6 6 0, 73.73°, d = 1.285 Å, I 27
- hkl 5 5 5, 75.52°, d = 1.259 Å, I 13
- hkl 8 4 4, 87.70°, d = 1.113 Å, I 16
- hkl 9 3 3, 89.42°, d = 1.096 Å, I 8

Crystal structure
```
data_Zr3Be6Ni20
_cell_length_a 10.9034
_cell_length_b 10.9034
_cell_length_c 10.9034
_cell_angle_alpha 90.00
_cell_angle_beta 90.00
_cell_angle_gamma 90.00
_space_group_name_H-M_alt 'F m -3 m'
_space_group_IT_number 225
_space_group_name_Hall '-F 4 2 3'
loop_
_atom_site_label
_atom_site_type_symbol
_atom_site_fract_x
_atom_site_fract_y
_atom_site_fract_z
Zr1 Zr 0.0000 0.0000 0.0000
Zr2 Zr 0.2500 0.2500 0.2500
Be1 Be 0.0000 0.0000 0.2692
Ni1 Ni 0.0000 0.1731 0.1731
Ni2 Ni 0.1163 0.1163 0.3837
```

No. 5
Simulated powder diffractogram
Compound: LiCu2Si2
Radiation: Cu Kα, 1.54184 Å
Structure: a cell relaxed with GGA-PBE
Peak positions follow from Bragg's law for the DFT cell and can differ from measured ones.

Largest 10 diffraction maxima, in order of rising 2θ, 15° ≤ 2θ ≤ 90°:
- hkl 1 0 0, 19.50°, d = 4.553 Å, I 100
- hkl 1 -1 1, 25.40°, d = 3.507 Å, I 24
- hkl 1 0 2, 34.11°, d = 2.629 Å, I 35
- hkl 0 2 0, 37.83°, d = 2.378 Å, I 27
- hkl -2 1 1, 39.35°, d = 2.290 Å, I 16
- hkl 1 -2 2, 45.44°, d = 1.996 Å, I 33
- hkl 0 1 3, 46.41°, d = 1.957 Å, I 24
- hkl 2 0 2, 49.01°, d = 1.859 Å, I 25
- hkl 1 2 0, 49.56°, d = 1.839 Å, I 15
- hkl 1 1 -3, 53.83°, d = 1.703 Å, I 14

Crystal structure
```
data_LiCu2Si2
_cell_length_a 4.9260
_cell_length_b 5.1464
_cell_length_c 6.4397
_cell_angle_alpha 90.01
_cell_angle_beta 90.07
_cell_angle_gamma 112.45
_space_group_name_H-M_alt 'P -1'
_space_group_IT_number 2
_space_group_name_Hall '-P 1'
loop_
_atom_site_label
_atom_site_type_symbol
_atom_site_fract_x
_atom_site_fract_y
_atom_site_fract_z
Li1 Li 0.0008 0.2507 0.2485
Cu1 Cu 0.5003 0.2501 0.0471
Cu2 Cu 0.5004 0.2501 0.4528
Si1 Si 0.2603 0.3434 0.7497
Si2 Si 0.2601 0.8439 0.2497
```

No. 6
Simulated powder diffractogram
Compound: Tb4Pu3S8
Radiation: Cu Kα, 1.54184 Å
Structure: a cell relaxed with GGA-PBE
Peak positions follow from Bragg's law for the DFT cell and can differ from measured ones.

Largest 10 diffraction maxima, in order of rising 2θ, 15° ≤ 2θ ≤ 90°:
- hkl 0 0 1, 15.90°, d = 5.574 Å, I 14
- hkl 2 2 -1, 22.59°, d = 3.936 Å, I 13
- hkl 2 2 0, 27.75°, d = 3.215 Å, I 84
- hkl 0 4 0, 32.15°, d = 2.784 Å, I 100
- hkl 4 0 0, 46.10°, d = 1.969 Å, I 73
- hkl 2 6 0, 54.64°, d = 1.680 Å, I 28
- hkl 6 2 -2, 54.72°, d = 1.678 Å, I 14
- hkl 4 4 0, 57.31°, d = 1.608 Å, I 25
- hkl 6 2 0, 74.22°, d = 1.278 Å, I 15
- hkl 0 8 2, 76.52°, d = 1.245 Å, I 14

Crystal structure
```
data_Tb4Pu3S8
_cell_length_a 11.1238
_cell_length_b 11.1353
_cell_length_c 7.8724
_cell_angle_alpha 90.00
_cell_angle_beta 134.89
_cell_angle_gamma 90.00
_space_group_name_H-M_alt 'C 1 2/m 1'
_space_group_IT_number 12
_space_group_name_Hall '-C 2y'
loop_
_atom_site_label
_atom_site_type_symbol
_atom_site_fract_x
_atom_site_fract_y
_atom_site_fract_z
Tb1 Tb 0.0000 0.0000 0.0000
Tb2 Tb 0.0000 0.0000 0.5000
Tb3 Tb 0.2500 0.2500 0.0000
Pu1 Pu 0.0000 0.5000 0.5000
Pu2 Pu 0.2500 0.2500 0.5000
S1 S 0.0000 0.2490 0.0000
S2 S 0.0000 0.2500 0.5000
S3 S 0.2479 0.0000 0.4965
S4 S 0.2476 0.0000 0.9961
```

No. 7
Simulated powder diffractogram
Compound: Ce3GaRu3
Radiation: Cu Kα, 1.54184 Å
Structure: a cell relaxed with GGA-PBE
Peak positions follow from Bragg's law for the DFT cell and can differ from measured ones.

Largest 10 diffraction maxima, in order of rising 2θ, 15° ≤ 2θ ≤ 90°:
- hkl 1 1 2, 25.68°, d = 3.469 Å, I 36
- hkl 1 1 3, 29.44°, d = 3.034 Å, I 50
- hkl 1 1 4, 34.06°, d = 2.632 Å, I 100
- hkl 1 3 0, 35.01°, d = 2.563 Å, I 37
- hkl 0 0 6, 38.62°, d = 2.331 Å, I 54
- hkl 1 3 3, 40.14°, d = 2.246 Å, I 73
- hkl 2 0 0, 40.95°, d = 2.204 Å, I 54
- hkl 0 4 3, 42.91°, d = 2.108 Å, I 22
- hkl 2 0 6, 57.54°, d = 1.602 Å, I 38
- hkl 1 5 4, 59.41°, d = 1.556 Å, I 18

Crystal structure
```
data_Ce3GaRu3
_cell_length_a 4.4081
_cell_length_b 9.4494
_cell_length_c 13.9969
_cell_angle_alpha 90.00
_cell_angle_beta 90.00
_cell_angle_gamma 90.00
_space_group_name_H-M_alt 'C m c m'
_space_group_IT_number 63
_space_group_name_Hall '-C 2c 2'
loop_
_atom_site_label
_atom_site_type_symbol
_atom_site_fract_x
_atom_site_fract_y
_atom_site_fract_z
Ce1 Ce 0.0000 0.0091 0.2500
Ce2 Ce 0.0000 0.3045 0.1047
Ga1 Ga 0.0000 0.0000 0.0000
Ru1 Ru 0.0000 0.2366 0.7500
Ru2 Ru 0.0000 0.4284 0.5906
```

No. 8
Simulated powder diffractogram
Compound: Ce7Tl2Tc2
Radiation: Cu Kα, 1.54184 Å
Structure: a cell relaxed with GGA-PBE
Peak positions follow from Bragg's law for the DFT cell and can differ from measured ones.

Largest 10 diffraction maxima, in order of rising 2θ, 15° ≤ 2θ ≤ 90°:
- hkl 2 0 1, 20.24°, d = 4.387 Å, I 20
- hkl 0 2 1, 25.83°, d = 3.449 Å, I 66
- hkl 2 2 0, 27.19°, d = 3.279 Å, I 27
- hkl 1 1 -2, 29.53°, d = 3.025 Å, I 41
- hkl 4 0 0, 31.22°, d = 2.865 Å, I 86
- hkl 1 3 0, 34.55°, d = 2.596 Å, I 24
- hkl 3 1 -2, 37.03°, d = 2.427 Å, I 30
- hkl 2 2 2, 38.07°, d = 2.363 Å, I 100
- hkl 4 2 -1, 40.95°, d = 2.204 Å, I 37
- hkl 4 4 0, 56.09°, d = 1.640 Å, I 17

Crystal structure
```
data_Ce7Tl2Tc2
_cell_length_a 11.4612
_cell_length_b 7.9978
_cell_length_c 6.8188
_cell_angle_alpha 90.00
_cell_angle_beta 90.21
_cell_angle_gamma 90.00
_space_group_name_H-M_alt 'C 1 2/m 1'
_space_group_IT_number 12
_space_group_name_Hall '-C 2y'
loop_
_atom_site_label
_atom_site_type_symbol
_atom_site_fract_x
_atom_site_fract_y
_atom_site_fract_z
Ce1 Ce 0.0000 0.0000 0.0000
Ce2 Ce 0.0010 0.5000 0.1986
Ce3 Ce 0.2497 0.2492 0.2653
Tl1 Tl 0.0000 0.1840 0.5000
Tc1 Tc 0.2318 0.5000 0.9986
```

No. 9
Simulated powder diffractogram
Compound: CePm5Pb6
Radiation: Cu Kα, 1.54184 Å
Structure: a cell relaxed with GGA-PBE
Peak positions follow from Bragg's law for the DFT cell and can differ from measured ones.

Largest 10 diffraction maxima, in order of rising 2θ, 15° ≤ 2θ ≤ 90°:
- hkl 0 0 3, 31.53°, d = 2.838 Å, I 100
- hkl 1 2 0, 31.65°, d = 2.827 Å, I 99
- hkl 1 2 -3, 35.11°, d = 2.556 Å, I 75
- hkl 2 0 2, 39.53°, d = 2.280 Å, I 27
- hkl 2 0 -4, 50.33°, d = 1.813 Å, I 14
- hkl 0 4 -2, 50.67°, d = 1.801 Å, I 13
- hkl 1 2 3, 53.89°, d = 1.701 Å, I 45
- hkl 3 2 -4, 60.67°, d = 1.526 Å, I 24
- hkl 0 4 1, 60.89°, d = 1.521 Å, I 24
- hkl 4 0 1, 66.75°, d = 1.401 Å, I 18

Crystal structure
```
data_CePm5Pb6
_cell_length_a 5.8280
_cell_length_b 7.2058
_cell_length_c 9.2842
_cell_angle_alpha 112.74
_cell_angle_beta 95.83
_cell_angle_gamma 90.05
_space_group_name_H-M_alt 'P -1'
_space_group_IT_number 2
_space_group_name_Hall '-P 1'
loop_
_atom_site_label
_atom_site_type_symbol
_atom_site_fract_x
_atom_site_fract_y
_atom_site_fract_z
Ce1 Ce 0.0000 0.0000 0.0000
Pm1 Pm 0.0000 0.5000 0.0000
Pm2 Pm 0.3327 0.8343 0.6684
Pm3 Pm 0.3350 0.3328 0.6655
Pb1 Pb 0.1663 0.4186 0.3347
Pb2 Pb 0.1663 0.9159 0.3347
Pb3 Pb 0.4999 0.2525 0.0000
```

No. 10
Simulated powder diffractogram
Compound: YHoO3
Radiation: Cu Kα, 1.54184 Å
Structure: a cell relaxed with GGA-PBE
Peak positions follow from Bragg's law for the DFT cell and can differ from measured ones.

Largest 10 diffraction maxima, in order of rising 2θ, 15° ≤ 2θ ≤ 90°:
- hkl 0 0 4, 27.97°, d = 3.190 Å, I 45
- hkl 1 1 1, 28.67°, d = 3.114 Å, I 100
- hkl 1 1 2, 31.19°, d = 2.868 Å, I 71
- hkl 1 1 3, 35.02°, d = 2.562 Å, I 32
- hkl 1 1 5, 45.40°, d = 1.998 Å, I 30
- hkl 3 0 0, 49.15°, d = 1.854 Å, I 41
- hkl 1 1 6, 51.55°, d = 1.773 Å, I 22
- hkl 3 0 4, 57.50°, d = 1.603 Å, I 36
- hkl 0 0 8, 57.87°, d = 1.593 Å, I 17
- hkl 3 0 8, 79.27°, d = 1.209 Å, I 21

Crystal structure
```
data_YHoO3
_cell_length_a 6.4214
_cell_length_b 6.4214
_cell_length_c 12.7586
_cell_angle_alpha 90.00
_cell_angle_beta 90.00
_cell_angle_gamma 120.00
_space_group_name_H-M_alt 'P 63 c m'
_space_group_IT_number 185
_space_group_name_Hall 'P 6c -2'
loop_
_atom_site_label
_atom_site_type_symbol
_atom_site_fract_x
_atom_site_fract_y
_atom_site_fract_z
Y1 Y 0.0000 0.0000 0.0000
Y2 Y 0.3333 0.6667 0.4673
Ho1 Ho 0.0000 0.3330 0.2315
O1 O 0.0000 0.0000 0.1975
O2 O 0.0000 0.3058 0.4049
O3 O 0.0000 0.3640 0.0598
O4 O 0.3333 0.6667 0.2586
```

No. 11
Simulated powder diffractogram
Compound: Dy6AgAu5
Radiation: Cu Kα, 1.54184 Å
Structure: a cell relaxed with GGA-PBE
Peak positions follow from Bragg's law for the DFT cell and can differ from measured ones.

Largest 10 diffraction maxima, in order of rising 2θ, 15° ≤ 2θ ≤ 90°:
- hkl 0 0 6, 35.10°, d = 2.556 Å, I 25
- hkl 1 2 3, 35.21°, d = 2.549 Å, I 100
- hkl 2 0 0, 35.34°, d = 2.540 Å, I 25
- hkl 0 4 0, 50.65°, d = 1.802 Å, I 27
- hkl 0 4 6, 63.06°, d = 1.474 Å, I 27
- hkl 2 4 0, 63.25°, d = 1.470 Å, I 9
- hkl 3 2 3, 63.36°, d = 1.468 Å, I 18
- hkl 2 4 6, 74.44°, d = 1.275 Å, I 11
- hkl 1 6 3, 85.11°, d = 1.140 Å, I 16
- hkl 4 0 6, 85.36°, d = 1.137 Å, I 4

Crystal structure
```
data_Dy6AgAu5
_cell_length_a 5.0791
_cell_length_b 7.2129
_cell_length_c 15.3376
_cell_angle_alpha 90.00
_cell_angle_beta 90.00
_cell_angle_gamma 90.00
_space_group_name_H-M_alt 'I m m m'
_space_group_IT_number 71
_space_group_name_Hall '-I 2 2'
loop_
_atom_site_label
_atom_site_type_symbol
_atom_site_fract_x
_atom_site_fract_y
_atom_site_fract_z
Dy1 Dy 0.0000 0.2455 0.0000
Dy2 Dy 0.0000 0.2519 0.3318
Ag1 Ag 0.0000 0.0000 0.5000
Au1 Au 0.0000 0.0000 0.1685
Au2 Au 0.0000 0.5000 0.1590
Au3 Au 0.0000 0.5000 0.5000
```

No. 12
Simulated powder diffractogram
Compound: Ca2Cd2Pd3
Radiation: Cu Kα, 1.54184 Å
Structure: a cell relaxed with GGA-PBE
Peak positions follow from Bragg's law for the DFT cell and can differ from measured ones.

Largest 10 diffraction maxima, in order of rising 2θ, 15° ≤ 2θ ≤ 90°:
- hkl 0 1 0, 21.35°, d = 4.162 Å, I 34
- hkl 1 1 1, 21.49°, d = 4.135 Å, I 16
- hkl 0 1 1, 22.51°, d = 3.949 Å, I 12
- hkl 1 0 -2, 35.42°, d = 2.535 Å, I 19
- hkl 1 -1 0, 36.68°, d = 2.450 Å, I 44
- hkl 1 2 1, 36.83°, d = 2.440 Å, I 42
- hkl 2 1 1, 36.94°, d = 2.434 Å, I 41
- hkl 1 0 3, 38.94°, d = 2.313 Å, I 100
- hkl 2 -1 3, 67.59°, d = 1.386 Å, I 12
- hkl 3 2 -1, 67.80°, d = 1.382 Å, I 12

Crystal structure
```
data_Ca2Cd2Pd3
_cell_length_a 4.8675
_cell_length_b 4.8804
_cell_length_c 7.8714
_cell_angle_alpha 72.28
_cell_angle_beta 72.28
_cell_angle_gamma 60.34
_space_group_name_H-M_alt 'P -1'
_space_group_IT_number 2
_space_group_name_Hall '-P 1'
loop_
_atom_site_label
_atom_site_type_symbol
_atom_site_fract_x
_atom_site_fract_y
_atom_site_fract_z
Ca1 Ca 0.1123 0.1124 0.1619
Cd1 Cd 0.3714 0.3727 0.3852
Pd1 Pd 0.2487 0.2496 0.7560
Pd2 Pd 0.5000 0.5000 0.0000
```